Computed powder diffractogram
Compound: CaBe2P2O8
Radiation: Cu Kα, 1.54184 Å
Structure: a PBE-relaxed structure
Neutral-atom scattering factors, no anomalous dispersion.

Cell and atoms:
```
CaBe2P2O8
1.0
7.871 0.000 0.000
0.000 8.874 0.000
-0.066 0.000 8.424
Ca Be P O
4 8 8 32
direct
0.244 0.085 0.387
0.244 0.415 0.887
0.756 0.585 0.113
0.756 0.915 0.613
0.069 0.079 0.769
0.069 0.421 0.269
0.430 0.695 0.443
0.430 0.805 0.943
0.570 0.195 0.057
0.570 0.305 0.557
0.931 0.579 0.731
0.931 0.921 0.231
0.061 0.698 0.440
0.061 0.802 0.940
0.439 0.083 0.764
0.439 0.417 0.264
0.561 0.583 0.736
0.561 0.917 0.236
0.939 0.198 0.060
0.939 0.302 0.560
0.004 0.087 0.191
0.004 0.413 0.691
0.056 0.637 0.875
0.056 0.863 0.375
0.067 0.193 0.921
0.067 0.307 0.421
0.240 0.656 0.496
0.240 0.844 0.996
0.258 0.080 0.687
0.258 0.420 0.187
0.437 0.194 0.905
0.437 0.306 0.405
0.438 0.633 0.870
0.438 0.867 0.370
0.495 0.074 0.187
0.495 0.426 0.687
0.505 0.574 0.313
0.505 0.926 0.813
0.562 0.133 0.630
0.562 0.367 0.130
0.563 0.694 0.595
0.563 0.806 0.095
0.742 0.580 0.813
0.742 0.920 0.313
0.760 0.156 0.004
0.760 0.344 0.504
0.933 0.693 0.579
0.933 0.807 0.079
0.944 0.137 0.625
0.944 0.363 0.125
0.996 0.587 0.309
0.996 0.913 0.809
```

Main lines, low angle first (5 to 70 degrees two-theta):
22.60°, 3.934 Å, I = 46.6, (2 0 0); 23.01°, 3.865 Å, I = 19.5, (1 2 0); 24.04°, 3.702 Å, I = 100.0, (1 0 2); 25.32°, 3.518 Å, I = 69.6, (1 2 -1); 25.94°, 3.435 Å, I = 28.8, (1 1 -2); 26.88°, 3.317 Å, I = 36.5, (2 1 -1); 29.24°, 3.055 Å, I = 53.6, (0 2 2); 32.07°, 2.791 Å, I = 19.6, (0 3 1); 32.31°, 2.770 Å, I = 42.4, (1 3 0); 40.64°, 2.220 Å, I = 43.3, (0 4 0); 41.46°, 2.178 Å, I = 20.3, (3 2 1); 44.00°, 2.058 Å, I = 19.6, (2 3 2)